1.
For KNiIO6, a cell relaxed with PBE+U gives the theoretical powder diffraction line list in this record (Cu Kα, 1.54184 Å).

Main lines, in order of rising 2θ (2θ from 10° to 80°):
hkl, d [Å], Rel. int.
0 0 1, 6.121, 100
1 0 0, 4.347, 25
1 0 1, 3.544, 97
1 1 0, 2.510, 28
1 1 1, 2.322, 28
1 1 2, 1.941, 51

Cell and atoms:
```
data_KNiIO6
_chemical_formula_sum 'K1 Ni1 I1 O6'
_symmetry_space_group_name_H-M 'P 3 1 2'
_symmetry_Int_Tables_number 149
_symmetry_space_group_name_Hall 'P 3 2'
_cell_length_a 5.0191
_cell_length_b 5.0191
_cell_length_c 6.1210
_cell_angle_alpha 90.00
_cell_angle_beta 90.00
_cell_angle_gamma 120.00
loop_
_atom_site_label
_atom_site_type_symbol
_atom_site_fract_x
_atom_site_fract_y
_atom_site_fract_z
K1 K 0.0000 0.0000 0.0000
Ni1 Ni 0.6667 0.3333 0.5000
I1 I 0.3333 0.6667 0.5000
O1 O 0.3795 0.0025 0.3249
```



2.
For K3NiI2O9, a cell relaxed with PBE+U gives the theoretical powder diffraction line list in this record (Cu Kα, 1.54184 Å).

Main lines, in order of rising 2θ (2θ from 10° to 80°):
hkl, d [Å], Rel. int.
1 0 1, 4.053, 55
1 1 0, 2.866, 100
2 0 2, 2.027, 39
2 1 1, 1.813, 20
1 2 2, 1.655, 28
3 1 2, 1.282, 16

Cell and atoms:
```
data_K3NiI2O9
_chemical_formula_sum 'K3 Ni1 I2 O9'
_symmetry_space_group_name_H-M 'P -3 m 1'
_symmetry_Int_Tables_number 164
_symmetry_space_group_name_Hall '-P 3 2"'
_cell_length_a 5.7280
_cell_length_b 5.7280
_cell_length_c 7.0298
_cell_angle_alpha 90.00
_cell_angle_beta 90.00
_cell_angle_gamma 120.00
loop_
_atom_site_label
_atom_site_type_symbol
_atom_site_fract_x
_atom_site_fract_y
_atom_site_fract_z
K1 K 0.0000 0.0000 0.0000
K2 K 0.3333 0.6667 0.6665
Ni1 Ni 0.0000 0.0000 0.5000
I1 I 0.3333 0.6667 0.1813
O1 O 0.0000 0.5000 0.0000
O2 O 0.1741 0.3481 0.3226
```